Record 1
This entry pairs a crystal structure of Mg14VCd with its simulated XRD peak list. Radiation: Cu Kα X-rays. Structure: a DFT-relaxed cell (PBE, the Materials Project).
No peak broadening, texture or thermal motion is included.

Structural model:
Unit cell a=10.178 b=6.321 c=10.928 alpha=90.00 beta=90.00 gamma=90.00
Space group Amm2 (No. 38)
One atom of each set of equivalent atoms:
Mg1 0.000 0.000 0.000
Mg2 0.000 0.000 0.500
Mg3 0.000 0.249 0.251
Mg4 0.250 0.000 0.667
Mg5 0.253 0.000 0.164
Mg6 0.256 0.246 0.919
Mg7 0.500 0.247 0.250
V1 0.500 0.000 0.001
Cd1 0.500 0.000 0.499

Top 12 peaks for 2θ = 10–80°, in order of rising 2θ:
| hkl | Position (°2θ) | I (rel.) |
| --- | --- | --- |
| 0 0 2 | 16.2 | 13.2 |
| 1 0 2 | 18.4 | 19.9 |
| 2 0 2 | 23.9 | 10.8 |
| 0 0 4 | 32.7 | 27.0 |
| 1 0 4 | 33.9 | 7.7 |
| 4 0 0 | 35.3 | 25.6 |
| 2 2 2 | 37.3 | 100.0 |
| 4 0 4 | 48.9 | 16.7 |
| 0 4 0 | 58.5 | 16.7 |
| 6 2 2 | 64.7 | 18.2 |
| 4 4 0 | 70.2 | 18.5 |
| 2 4 4 | 71.4 | 9.4 |

---

Record 2
This entry pairs a crystal structure of Mg14CdW with its simulated XRD peak list. Radiation: Cu Kα X-rays. Structure: a DFT-relaxed cell (PBE, the Materials Project).
No peak broadening, texture or thermal motion is included.

Structural model:
Unit cell a=9.968 b=6.315 c=10.856 alpha=90.00 beta=90.00 gamma=90.00
Space group Amm2 (No. 38)
One atom of each set of equivalent atoms:
Mg1 0.000 0.000 0.000
Mg2 0.000 0.000 0.499
Mg3 0.000 0.249 0.251
Mg4 0.251 0.000 0.667
Mg5 0.258 0.000 0.161
Mg6 0.260 0.242 0.920
Mg7 0.500 0.249 0.249
Cd1 0.500 0.000 0.501
W1 0.500 0.000 0.000

Top 12 peaks for 2θ = 10–80°, in order of rising 2θ:
| hkl | Position (°2θ) | I (rel.) |
| --- | --- | --- |
| 0 0 2 | 16.3 | 41.9 |
| 2 0 0 | 17.8 | 28.4 |
| 1 0 2 | 18.6 | 59.5 |
| 2 0 2 | 24.2 | 29.2 |
| 0 2 2 | 32.8 | 32.9 |
| 1 2 2 | 34.1 | 22.3 |
| 4 0 0 | 36.0 | 35.5 |
| 2 2 2 | 37.6 | 100.0 |
| 2 0 4 | 37.7 | 49.4 |
| 4 2 2 | 49.5 | 20.4 |
| 6 2 2 | 65.8 | 20.7 |
| 4 2 6 | 71.0 | 18.3 |

---

Record 3
This entry pairs a crystal structure of Mg14CdW with its simulated XRD peak list. Radiation: Cu Kα X-rays. Structure: a DFT-relaxed cell (PBE, the Materials Project).
No peak broadening, texture or thermal motion is included.

Structural model:
Unit cell a=6.2944 b=6.2944 c=9.9612 alpha=90.00 beta=90.00 gamma=120.00
Space group P-6m2 (No. 187)
One atom of each set of equivalent atoms:
Mg1 0.0000 0.0000 0.2490
Mg2 0.0133 0.5067 0.2423
Mg3 0.3340 0.1670 0.0000
Mg4 0.3335 0.1668 0.5000
Cd1 0.3333 0.6667 0.5000
W1 0.3333 0.6667 0.0000

Top 12 peaks for 2θ = 10–80°, in order of rising 2θ:
| hkl | Position (°2θ) | I (rel.) |
| --- | --- | --- |
| 1 0 0 | 16.3 | 73.6 |
| 0 0 2 | 17.8 | 18.9 |
| 1 0 2 | 24.2 | 51.9 |
| 1 1 0 | 28.4 | 18.8 |
| 2 0 0 | 32.9 | 32.9 |
| 1 1 2 | 33.7 | 23.7 |
| 0 0 4 | 36.1 | 23.8 |
| 2 0 2 | 37.6 | 100.0 |
| 2 1 2 | 47.8 | 20.3 |
| 2 0 4 | 49.6 | 20.3 |
| 2 0 6 | 65.9 | 18.1 |
| 2 2 4 | 70.8 | 18.5 |

---

Record 4
This entry pairs a crystal structure of YMg6Cd with its simulated XRD peak list. Radiation: Cu Kα X-rays. Structure: a DFT-relaxed cell (PBE, the Materials Project).
No peak broadening, texture or thermal motion is included.

Structural model:
Unit cell a=5.133 b=6.475 c=11.585 alpha=90.00 beta=90.00 gamma=90.00
Space group Amm2 (No. 38)
One atom of each set of equivalent atoms:
Y1 0.000 0.000 0.000
Mg1 0.000 0.246 0.249
Mg2 0.500 0.000 0.167
Mg3 0.500 0.000 0.663
Mg4 0.500 0.245 0.412
Cd1 0.000 0.000 0.493

Top 12 peaks for 2θ = 10–80°, in order of rising 2θ:
| hkl | Position (°2θ) | I (rel.) |
| --- | --- | --- |
| 0 0 2 | 15.3 | 47.1 |
| 1 0 0 | 17.3 | 36.7 |
| 1 0 2 | 23.2 | 37.7 |
| 0 0 4 | 30.9 | 18.8 |
| 0 2 2 | 31.7 | 35.5 |
| 2 0 0 | 35.0 | 35.0 |
| 1 0 4 | 35.6 | 52.8 |
| 1 2 2 | 36.3 | 100.0 |
| 2 2 2 | 47.9 | 21.7 |
| 0 2 6 | 55.4 | 17.5 |
| 3 2 2 | 63.6 | 18.2 |
| 2 2 6 | 67.2 | 26.5 |

---

Record 5
This entry pairs a crystal structure of YMg6Cd with its simulated XRD peak list. Radiation: Cu Kα X-rays. Structure: a DFT-relaxed cell (PBE, the Materials Project).
No peak broadening, texture or thermal motion is included.

Structural model:
Unit cell a=5.126 b=6.583 c=11.412 alpha=90.00 beta=90.00 gamma=90.00
Space group Amm2 (No. 38)
One atom of each set of equivalent atoms:
Y1 0.000 0.000 0.000
Mg1 0.000 0.000 0.506
Mg2 0.000 0.247 0.751
Mg3 0.500 0.000 0.337
Mg4 0.500 0.245 0.589
Cd1 0.500 0.000 0.835

Top 12 peaks for 2θ = 10–80°, in order of rising 2θ:
| hkl | Position (°2θ) | I (rel.) |
| --- | --- | --- |
| 0 1 1 | 15.5 | 57.5 |
| 1 0 2 | 23.3 | 32.3 |
| 0 2 2 | 31.4 | 24.7 |
| 1 1 3 | 32.3 | 22.2 |
| 2 0 0 | 35.0 | 24.1 |
| 1 0 4 | 36.0 | 100.0 |
| 2 1 1 | 38.5 | 12.1 |
| 2 2 2 | 47.7 | 14.8 |
| 0 4 0 | 55.8 | 17.9 |
| 3 0 4 | 63.5 | 17.9 |
| 2 4 0 | 67.6 | 19.5 |
| 1 4 4 | 68.3 | 14.2 |

---

Record 6
This entry pairs a crystal structure of Mg6ZrCd with its simulated XRD peak list. Radiation: Cu Kα X-rays. Structure: a DFT-relaxed cell (PBE, the Materials Project).
No peak broadening, texture or thermal motion is included.

Structural model:
Unit cell a=5.038 b=6.294 c=11.298 alpha=90.00 beta=90.00 gamma=90.00
Space group Amm2 (No. 38)
One atom of each set of equivalent atoms:
Mg1 0.000 0.000 0.000
Mg2 0.000 0.000 0.498
Mg3 0.000 0.243 0.753
Mg4 0.500 0.249 0.092
Zr1 0.500 0.000 0.843
Cd1 0.500 0.000 0.335

Top 12 peaks for 2θ = 10–80°, in order of rising 2θ:
| hkl | Position (°2θ) | I (rel.) |
| --- | --- | --- |
| 0 0 2 | 15.7 | 52.8 |
| 1 0 0 | 17.6 | 39.7 |
| 1 0 2 | 23.7 | 38.5 |
| 0 0 4 | 31.7 | 17.3 |
| 0 2 2 | 32.6 | 38.9 |
| 2 0 0 | 35.6 | 36.8 |
| 1 0 4 | 36.5 | 57.6 |
| 1 2 2 | 37.3 | 100.0 |
| 2 2 2 | 49.0 | 23.8 |
| 0 2 6 | 57.0 | 23.9 |
| 3 2 2 | 65.1 | 18.2 |
| 2 2 6 | 69.1 | 25.8 |

---

Record 7
This entry pairs a crystal structure of Mg6ZrCd with its simulated XRD peak list. Radiation: Cu Kα X-rays. Structure: a DFT-relaxed cell (PBE, the Materials Project).
No peak broadening, texture or thermal motion is included.

Structural model:
Unit cell a=5.034 b=6.409 c=11.106 alpha=90.00 beta=90.00 gamma=90.00
Space group Amm2 (No. 38)
One atom of each set of equivalent atoms:
Mg1 0.000 0.000 0.000
Mg2 0.000 0.247 0.749
Mg3 0.500 0.000 0.168
Mg4 0.500 0.248 0.415
Zr1 0.500 0.000 0.664
Cd1 0.000 0.000 0.504

Top 12 peaks for 2θ = 10–80°, in order of rising 2θ:
| hkl | Position (°2θ) | I (rel.) |
| --- | --- | --- |
| 0 1 1 | 16.0 | 62.1 |
| 1 0 2 | 23.9 | 30.9 |
| 0 2 2 | 32.2 | 24.7 |
| 1 1 3 | 33.1 | 22.6 |
| 2 0 0 | 35.7 | 24.6 |
| 1 0 4 | 37.0 | 100.0 |
| 2 1 1 | 39.3 | 13.1 |
| 2 2 2 | 48.8 | 14.8 |
| 0 4 0 | 57.5 | 17.5 |
| 3 0 4 | 64.9 | 17.9 |
| 2 4 0 | 69.5 | 19.2 |
| 1 4 4 | 70.4 | 13.9 |

---

Record 8
This entry pairs a crystal structure of Mn10CdN8 with its simulated XRD peak list. Radiation: Cu Kα X-rays. Structure: a DFT-relaxed cell (PBE, the Materials Project).
No peak broadening, texture or thermal motion is included.

Structural model:
Unit cell a=16.123 b=3.821 c=8.162 alpha=90.00 beta=119.57 gamma=90.00
Space group C2/m (No. 12)
One atom of each set of equivalent atoms:
Mn1 0.039 0.000 0.250
Mn2 0.083 0.500 0.001
Mn3 0.186 0.500 0.390
Mn4 0.198 0.000 0.188
Mn5 0.206 0.000 0.892
Cd1 0.000 0.500 0.500
N1 0.048 0.500 0.199
N2 0.098 0.000 0.942
N3 0.181 0.000 0.403
N4 0.196 0.500 0.841

Top 12 peaks for 2θ = 10–80°, in order of rising 2θ:
| hkl | Position (°2θ) | I (rel.) |
| --- | --- | --- |
| 2 0 1 | 21.8 | 51.5 |
| 4 0 0 | 25.4 | 39.6 |
| 1 1 -2 | 32.7 | 44.2 |
| 3 1 -2 | 32.8 | 25.3 |
| 4 0 -3 | 33.7 | 48.3 |
| 5 1 -1 | 36.6 | 100.0 |
| 1 1 2 | 37.4 | 63.3 |
| 6 0 -3 | 38.5 | 44.7 |
| 3 1 -3 | 40.7 | 34.3 |
| 6 0 1 | 46.5 | 41.3 |
| 0 2 0 | 47.6 | 69.9 |
| 2 0 4 | 59.7 | 24.8 |

---

Record 9
This entry pairs a crystal structure of MnCd4N4 with its simulated XRD peak list. Radiation: Cu Kα X-rays. Structure: a DFT-relaxed cell (PBE, the Materials Project).
No peak broadening, texture or thermal motion is included.

Structural model:
Unit cell a=6.254 b=6.281 c=8.697 alpha=71.87 beta=72.08 gamma=62.85
Space group P-1 (No. 2)
One atom of each set of equivalent atoms:
Mn1 0.195 0.193 0.227
Cd1 0.172 0.647 0.379
Cd2 0.241 0.757 0.001
Cd3 0.326 0.327 0.791
Cd4 0.352 0.829 0.621
N1 0.013 0.586 0.659
N2 0.034 0.036 0.194
N3 0.333 0.332 0.047
N4 0.417 0.982 0.341

Top 12 peaks for 2θ = 10–80°, in order of rising 2θ:
| hkl | Position (°2θ) | I (rel.) |
| --- | --- | --- |
| 1 1 3 | 31.4 | 100.0 |
| 0 2 1 | 32.3 | 48.7 |
| 2 0 1 | 32.5 | 46.9 |
| 0 2 0 | 32.7 | 34.0 |
| 2 0 0 | 32.8 | 34.7 |
| 1 1 -2 | 33.2 | 95.2 |
| 2 2 1 | 33.6 | 91.9 |
| 1 -1 2 | 35.3 | 24.0 |
| -1 1 3 | 43.4 | 40.0 |
| 1 -1 3 | 43.5 | 27.7 |
| 2 -2 0 | 56.3 | 23.4 |
| 0 4 1 | 67.0 | 29.8 |